For CdBr2, the PBE geometry in Alexandria gives the calculated XRD peak list in this record (Cu Kα (λ = 1.5418 Å)).
Kinematic intensities with the Lorentz-polarization factor, no thermal factor.

Structural model:
Lattice parameters (Å, degrees): 3.8995 8.0446 14.9224 90.00 90.00 90.00
Space group Fmmm (No. 69)
Asymmetric unit:
Cd 0.0000 0.0000 0.0000
Br 0.0000 0.0000 0.3758

The 10 most intense peaks (2θ from 10° to 80°), by intensity:
two_theta  intensity  hkl
31.19  100  1 1 3
22.10  89  0 2 0
11.86  63  0 0 2
39.64  53  1 1 5
44.89  36  1 3 3
51.46  24  1 3 5
25.15  22  0 2 2
52.13  17  2 2 0
54.20  15  0 2 8
45.08  13  0 4 0


For CdBr2, the PBE geometry in Alexandria gives the calculated XRD peak list in this record (Cu Kα (λ = 1.5418 Å)).
Kinematic intensities with the Lorentz-polarization factor, no thermal factor.

Structural model:
Lattice parameters (Å, degrees): 3.9713 18.3063 5.9302 90.00 90.00 90.00
Space group Cmcm (No. 63)
Asymmetric unit:
Cd 0.0000 0.1796 0.2500
Br 0.0000 0.2070 0.7500
Br 0.0000 0.4172 0.7500

The 10 most intense peaks (2θ from 10° to 80°), by intensity:
two_theta  intensity  hkl
17.82  100  0 2 1
33.28  90  1 5 0
26.78  80  1 3 0
30.14  78  0 0 2
45.51  73  1 5 2
40.75  51  1 3 2
36.66  39  1 5 1
55.71  26  2 0 2
45.69  24  2 0 0
44.19  22  1 7 1


For Cd7Br, the PBE geometry in Alexandria gives the calculated XRD peak list in this record (Cu Kα (λ = 1.5418 Å)).
Kinematic intensities with the Lorentz-polarization factor, no thermal factor.

Structural model:
Lattice parameters (Å, degrees): 9.2091 9.2091 9.2091 90.00 90.00 90.00
Space group Fm-3m (No. 225)
Asymmetric unit:
Cd 0.0000 0.0000 0.0000
Cd 0.0000 0.2500 0.2500
Br 0.0000 0.0000 0.5000

The 6 most intense peaks (2θ from 10° to 80°), by intensity:
two_theta  intensity  hkl
33.71  100  2 2 2
39.13  49  4 0 0
67.46  37  6 2 2
56.53  32  4 4 0
70.90  11  4 4 4
16.67  1  1 1 1


For Cd6Br, the PBE geometry in Alexandria gives the calculated XRD peak list in this record (Cu Kα (λ = 1.5418 Å)).
Kinematic intensities with the Lorentz-polarization factor, no thermal factor.

Structural model:
Lattice parameters (Å, degrees): 8.1500 8.1500 8.1500 90.00 90.00 90.00
Space group Im-3m (No. 229)
Asymmetric unit:
Cd 0.0000 0.2500 0.5000
Br 0.0000 0.0000 0.0000

The 10 most intense peaks (2θ from 10° to 80°), by intensity:
two_theta  intensity  hkl
26.79  100  2 1 1
41.46  61  3 2 1
38.26  49  2 2 2
21.81  42  2 0 0
15.38  41  1 1 0
44.46  38  4 0 0
64.70  24  4 4 0
62.41  17  5 2 1
71.34  17  6 1 1
50.05  17  4 2 0


For RbCeCd2Br8, the PBE geometry in Alexandria gives the calculated XRD peak list in this record (Cu Kα (λ = 1.5418 Å)).
Kinematic intensities with the Lorentz-polarization factor, no thermal factor.

Structural model:
Lattice parameters (Å, degrees): 7.0254 7.0341 9.8267 78.44 79.80 79.20
Space group P-1 (No. 2)
Asymmetric unit:
Rb 0.0000 0.0000 0.0000
Ce 0.0000 0.0000 0.5000
Cd 0.4551 0.4430 0.2159
Br 0.1724 0.7246 0.7311
Br 0.2370 0.7919 0.2823
Br 0.2950 0.2516 0.4684
Br 0.3548 0.3007 0.0120

The 10 most intense peaks (2θ from 10° to 80°), by intensity:
two_theta  intensity  hkl
16.88  100  1 1 0
19.82  70  1 -1 0
40.24  66  2 -2 0
27.59  58  1 -1 2
27.07  56  -1 1 2
37.77  56  0 0 4
14.83  54  1 0 1
14.63  53  0 1 1
35.13  46  -1 2 2
27.33  45  2 1 0


For Cd3BrCl5, the PBE geometry in Alexandria gives the calculated XRD peak list in this record (Cu Kα (λ = 1.5418 Å)).
Kinematic intensities with the Lorentz-polarization factor, no thermal factor.

Structural model:
Lattice parameters (Å, degrees): 8.9826 27.5169 3.9711 90.00 90.00 90.00
Space group Cmmm (No. 65)
Asymmetric unit:
Cd 0.0000 0.0000 0.0000
Cd 0.0000 0.1640 0.5000
Cd 0.0000 0.3280 0.0000
Cd 0.0000 0.5000 0.5000
Br 0.0000 0.3971 0.5000
Cl 0.0000 0.0639 0.5000
Cl 0.0000 0.2661 0.5000
Cl 0.1919 0.1674 0.0000
Cl 0.1952 0.5000 0.0000

The 10 most intense peaks (2θ from 10° to 80°), by intensity:
two_theta  intensity  hkl
19.77  100  2 0 0
38.49  78  1 9 1
26.39  71  1 3 1
19.35  68  0 6 0
48.33  66  3 9 1
38.93  59  3 3 1
40.15  25  4 0 0
30.04  23  2 0 1
45.69  23  0 0 2
29.76  21  0 6 1


For Cs2CdBrCl3, the PBE geometry in Alexandria gives the calculated XRD peak list in this record (Cu Kα (λ = 1.5418 Å)).
Kinematic intensities with the Lorentz-polarization factor, no thermal factor.

Structural model:
Lattice parameters (Å, degrees): 5.4149 5.5680 17.1444 90.00 90.00 90.00
Space group Immm (No. 71)
Asymmetric unit:
Cs 0.0000 0.0000 0.1440
Cd 0.0000 0.0000 0.5000
Br 0.0000 0.5000 0.5000
Cl 0.0000 0.0000 0.3472
Cl 0.0000 0.5000 0.0000

The 10 most intense peaks (2θ from 10° to 80°), by intensity:
two_theta  intensity  hkl
22.91  100  1 1 0
22.62  98  1 0 3
31.08  71  1 1 4
32.15  62  0 2 0
10.32  62  0 0 2
33.09  57  2 0 0
22.29  53  0 1 3
39.67  47  1 2 3
31.30  45  0 0 6
46.80  41  2 2 0


For CdInBr2Cl, the PBE geometry in Alexandria gives the calculated XRD peak list in this record (Cu Kα (λ = 1.5418 Å)).
Kinematic intensities with the Lorentz-polarization factor, no thermal factor.

Structural model:
Lattice parameters (Å, degrees): 7.6773 7.6773 10.6541 90.00 90.00 90.00
Space group I4cm (No. 108)
Asymmetric unit:
Cd 0.0000 0.0000 0.0000
In 0.0000 0.5000 0.2515
Br 0.1881 0.3119 0.0000
Cl 0.0000 0.0000 0.2500

The 10 most intense peaks (2θ from 10° to 80°), by intensity:
two_theta  intensity  hkl
40.85  100  3 1 2
23.40  98  1 1 2
33.00  86  2 2 0
33.65  62  0 0 4
47.85  59  2 2 4
27.29  53  2 1 1
28.66  50  2 0 2
23.17  40  2 0 0
74.17  38  6 0 0
16.64  30  0 0 2


For CdInBrCl4, the PBE geometry in Alexandria gives the calculated XRD peak list in this record (Cu Kα (λ = 1.5418 Å)).
Kinematic intensities with the Lorentz-polarization factor, no thermal factor.

Structural model:
Lattice parameters (Å, degrees): 15.5110 7.5843 10.3407 90.00 113.32 90.00
Space group C2/m (No. 12)
Asymmetric unit:
Cd 0.1172 0.0000 0.1378
In 0.2022 0.5000 0.3178
Br 0.0480 0.0000 0.8521
Cl 0.0457 0.5000 0.2895
Cl 0.1699 0.0000 0.4587
Cl 0.2357 0.2547 0.1881

The 10 most intense peaks (2θ from 10° to 80°), by intensity:
two_theta  intensity  hkl
12.23  100  2 0 -1
17.57  55  1 1 1
26.54  46  2 2 -1
23.46  45  0 2 0
13.23  42  1 1 0
33.49  35  1 1 3
20.83  33  1 1 -2
42.51  27  6 2 -2
37.78  24  1 1 -4
18.69  24  0 0 2


For KCdInBrCl, the PBE geometry in Alexandria gives the calculated XRD peak list in this record (Cu Kα (λ = 1.5418 Å)).
Kinematic intensities with the Lorentz-polarization factor, no thermal factor.

Structural model:
Lattice parameters (Å, degrees): 4.4160 4.5735 9.9376 79.62 77.28 61.20
Space group P1 (No. 1)
Asymmetric unit:
K 0.0000 0.0000 0.0000
Cd 0.4321 0.5266 0.6175
In 0.8328 0.9181 0.4238
Br 0.2407 0.2968 0.2254
Cl 0.7426 0.6866 0.8261

The 10 most intense peaks (2θ from 10° to 80°), by intensity:
two_theta  intensity  hkl
27.41  100  1 0 2
39.46  62  1 -1 0
32.07  50  1 1 3
27.73  49  0 1 2
33.48  48  1 1 -2
23.67  42  1 0 1
40.88  33  2 1 1
39.32  32  1 1 4
23.36  32  0 1 1
30.26  23  0 1 -2


For KCdInBrCl, the PBE geometry in Alexandria gives the calculated XRD peak list in this record (Cu Kα (λ = 1.5418 Å)).
Kinematic intensities with the Lorentz-polarization factor, no thermal factor.

Structural model:
Lattice parameters (Å, degrees): 7.6808 4.4383 10.1634 90.00 104.61 90.00
Space group Cm (No. 8)
Asymmetric unit:
K 0.0000 0.0000 0.0000
Cd 0.0286 0.5000 0.5901
In 0.1279 0.0000 0.3902
Br 0.2639 0.0000 0.7916
Cl 0.2306 0.5000 0.1930

The 10 most intense peaks (2θ from 10° to 80°), by intensity:
two_theta  intensity  hkl
31.51  100  2 0 -3
40.67  91  0 2 0
33.69  90  2 0 2
27.71  74  2 0 1
23.93  60  1 1 -1
63.18  46  0 2 5
26.15  40  1 1 1
38.47  32  2 0 -4
23.35  31  2 0 -1
52.34  23  2 2 -3


For KCdInBrCl, the PBE geometry in Alexandria gives the calculated XRD peak list in this record (Cu Kα (λ = 1.5418 Å)).
Kinematic intensities with the Lorentz-polarization factor, no thermal factor.

Structural model:
Lattice parameters (Å, degrees): 5.8041 5.8010 10.0739 90.00 106.64 90.00
Space group Cm (No. 8)
Asymmetric unit:
K 0.0000 0.0000 0.0000
Cd 0.2618 0.0000 0.5301
In 0.2182 0.5000 0.4420
Br 0.4057 0.0000 0.8113
Cl 0.0864 0.5000 0.1739

The 10 most intense peaks (2θ from 10° to 80°), by intensity:
two_theta  intensity  hkl
30.82  100  0 2 0
39.37  64  1 1 3
25.75  52  1 1 -2
44.15  36  2 2 -1
18.38  32  0 0 2
41.93  30  2 0 2
22.15  27  1 1 0
60.60  25  3 1 2
36.12  24  2 0 1
27.73  23  0 0 3